Diffraction record for Li4HoZn8. The PXRD pattern is simulated, not measured: it uses a cell relaxed with GGA-PBE and Cu Kα (weighted mean of Kα1 and Kα2).
No peak broadening, texture or thermal motion is included.

Crystal structure
```
data_Li4HoZn8
_cell_length_a 9.2186
_cell_length_b 9.2186
_cell_length_c 4.7134
_cell_angle_alpha 90.00
_cell_angle_beta 90.00
_cell_angle_gamma 90.00
_space_group_name_H-M_alt 'I 4/m m m'
_space_group_IT_number 139
_space_group_name_Hall '-I 4 2'
loop_
_atom_site_label
_atom_site_fract_x
_atom_site_fract_y
_atom_site_fract_z
Li1 0.2500 0.2500 0.2500
Ho1 0.0000 0.0000 0.0000
Zn1 0.0000 0.2166 0.5000
Zn2 0.0000 0.3568 0.0000
```

Main lines, in order of falling intensity (2θ from 10° to 90°):
- 40.12 deg, I 100, hkl 3 2 1
- 19.26 deg, I 50, hkl 2 0 0
- 34.85 deg, I 47, hkl 3 0 1
- 38.19 deg, I 33, hkl 0 0 2
- 39.09 deg, I 23, hkl 4 0 0
- 28.77 deg, I 22, hkl 2 1 1
- 71.51 deg, I 20, hkl 6 3 1
- 70.33 deg, I 18, hkl 3 2 3
- 43.11 deg, I 17, hkl 2 0 2
- 55.79 deg, I 13, hkl 4 0 2

=====

Diffraction record for Al6ZnW. The PXRD pattern is simulated, not measured: it uses a cell relaxed with GGA-PBE and Cu Kα (weighted mean of Kα1 and Kα2).
No peak broadening, texture or thermal motion is included.

Crystal structure
```
data_Al6ZnW
_cell_length_a 4.8849
_cell_length_b 4.9459
_cell_length_c 5.5212
_cell_angle_alpha 103.71
_cell_angle_beta 92.03
_cell_angle_gamma 99.98
_space_group_name_H-M_alt 'P -1'
_space_group_IT_number 2
loop_
_space_group_symop_operation_xyz
'x,y,z'
'-x,-y,-z'
loop_
_atom_site_label
_atom_site_fract_x
_atom_site_fract_y
_atom_site_fract_z
Al1 0.0061 0.4821 0.2412
Al2 0.2398 0.0389 0.6375
Al3 0.2716 0.0021 0.1305
Zn1 0.5000 0.5000 0.5000
W1 0.5000 0.5000 0.0000
```

Main lines, in order of falling intensity (2θ from 10° to 90°):
- 18.50 deg, I 100, hkl 1 0 0
- 18.80 deg, I 94, hkl 0 1 0
- 38.80 deg, I 81, hkl 2 -1 0
- 23.86 deg, I 77, hkl 1 -1 0
- 38.13 deg, I 68, hkl 0 2 0
- 39.90 deg, I 65, hkl 1 0 2
- 39.61 deg, I 63, hkl 1 1 -2
- 44.23 deg, I 44, hkl -1 1 2
- 45.52 deg, I 42, hkl 2 1 0
- 16.58 deg, I 41, hkl 0 0 1